1.
For Nb4B3Au, a structure optimized by DFT (GGA-PBE) gives the computed X-ray powder pattern in this record (Cu Kα (λ = 1.5418 Å)).
Peak positions follow from Bragg's law for the DFT cell and can differ from measured ones.

Structure:
Cell lengths 3.2764, 3.2764, 24.2588 Å; angles 90.00, 90.00, 120.00 degrees
Fractional coordinates of all 16 atoms:
Nb (0.0000, 0.0000, 0.1597)
Nb (0.0000, 0.0000, 0.3403)
Nb (0.0000, 0.0000, 0.6597)
Nb (0.0000, 0.0000, 0.8403)
Nb (0.3333, 0.6667, 0.0535)
Nb (0.3333, 0.6667, 0.4465)
Nb (0.6667, 0.3333, 0.5535)
Nb (0.6667, 0.3333, 0.9465)
B (0.0000, 0.0000, 0.0000)
B (0.0000, 0.0000, 0.5000)
B (0.3333, 0.6667, 0.6105)
B (0.3333, 0.6667, 0.8895)
B (0.6667, 0.3333, 0.1105)
B (0.6667, 0.3333, 0.3895)
Au (0.3333, 0.6667, 0.2500)
Au (0.6667, 0.3333, 0.7500)

Peak list (10 most intense, 2θ from 5° to 70°, low angle first)
12.129 Å, I 65
2.818 Å, I 60
2.570 Å, I 51
2.449 Å, I 100
2.426 Å, I 38
2.323 Å, I 84
1.954 Å, I 16
1.741 Å, I 22
1.638 Å, I 45
1.358 Å, I 36



2.
For Sc2BAu, a structure optimized by DFT (GGA-PBE) gives the computed X-ray powder pattern in this record (Cu Kα (λ = 1.5418 Å)).
Peak positions follow from Bragg's law for the DFT cell and can differ from measured ones.

Structure:
Cell lengths 3.6001, 3.6001, 13.1982 Å; angles 90.00, 90.00, 120.00 degrees
Fractional coordinates of all 8 atoms:
Sc (0.3333, 0.6667, 0.0931)
Sc (0.3333, 0.6667, 0.4069)
Sc (0.6667, 0.3333, 0.5931)
Sc (0.6667, 0.3333, 0.9069)
B (0.0000, 0.0000, 0.0000)
B (0.0000, 0.0000, 0.5000)
Au (0.3333, 0.6667, 0.7500)
Au (0.6667, 0.3333, 0.2500)

Peak list (10 most intense, 2θ from 5° to 70°, low angle first)
6.599 Å, I 58
3.118 Å, I 26
3.034 Å, I 43
2.819 Å, I 17
2.544 Å, I 100
2.200 Å, I 13
2.015 Å, I 20
1.799 Å, I 37
1.469 Å, I 18
1.393 Å, I 18



3.
For Si2BAu2, a structure optimized by DFT (GGA-PBE) gives the computed X-ray powder pattern in this record (Cu Kα (λ = 1.5418 Å)).
Peak positions follow from Bragg's law for the DFT cell and can differ from measured ones.

Structure:
Cell lengths 4.2025, 4.2025, 10.1397 Å; angles 90.00, 90.00, 90.00 degrees
Fractional coordinates of all 10 atoms:
Si (0.0000, 0.0000, 0.1124)
Si (0.0000, 0.0000, 0.8876)
Si (0.5000, 0.5000, 0.3876)
Si (0.5000, 0.5000, 0.6124)
B (0.0000, 0.0000, 0.5000)
B (0.5000, 0.5000, 0.0000)
Au (0.0000, 0.5000, 0.2500)
Au (0.0000, 0.5000, 0.7500)
Au (0.5000, 0.0000, 0.2500)
Au (0.5000, 0.0000, 0.7500)

Peak list (10 most intense, 2θ from 5° to 70°, low angle first)
5.070 Å, I 100
2.972 Å, I 43
2.564 Å, I 91
2.535 Å, I 16
2.101 Å, I 32
1.941 Å, I 35
1.929 Å, I 46
1.618 Å, I 17
1.469 Å, I 14
1.426 Å, I 13



4.
For SnB4Au, a structure optimized by DFT (GGA-PBE) gives the computed X-ray powder pattern in this record (Cu Kα (λ = 1.5418 Å)).
Peak positions follow from Bragg's law for the DFT cell and can differ from measured ones.

Structure:
Cell lengths 3.0683, 5.2403, 8.9074 Å; angles 90.00, 90.00, 90.00 degrees
Fractional coordinates of all 12 atoms:
Sn (0.0000, 0.0000, 0.0000)
Sn (0.5000, 0.5000, 0.5000)
B (0.0000, 0.3311, 0.2538)
B (0.0000, 0.3311, 0.7462)
B (0.0000, 0.6689, 0.2538)
B (0.0000, 0.6689, 0.7462)
B (0.5000, 0.1689, 0.2462)
B (0.5000, 0.1689, 0.7538)
B (0.5000, 0.8311, 0.2462)
B (0.5000, 0.8311, 0.7538)
Au (0.0000, 0.0000, 0.5000)
Au (0.5000, 0.5000, 0.0000)

Peak list (10 most intense, 2θ from 5° to 70°, low angle first)
4.454 Å, I 96
2.648 Å, I 63
2.620 Å, I 30
2.276 Å, I 100
2.258 Å, I 49
2.227 Å, I 26
1.704 Å, I 35
1.697 Å, I 17
1.518 Å, I 15
1.437 Å, I 19



5.
For Ba2Au, a structure optimized by DFT (GGA-PBE) gives the computed X-ray powder pattern in this record (Cu Kα (λ = 1.5418 Å)).
Peak positions follow from Bragg's law for the DFT cell and can differ from measured ones.

Structure:
Cell lengths 4.9675, 4.3821, 12.2156 Å; angles 90.00, 90.00, 90.00 degrees
Fractional coordinates of all 6 atoms:
Ba (0.0000, 0.0000, 0.0000)
Ba (0.0000, 0.5000, 0.5000)
Ba (0.5000, 0.0000, 0.2630)
Ba (0.5000, 0.5000, 0.7630)
Au (0.5000, 0.0000, 0.5447)
Au (0.5000, 0.5000, 0.0447)

Peak list (10 most intense, 2θ from 5° to 70°, low angle first)
6.108 Å, I 35
4.967 Å, I 24
3.173 Å, I 100
3.054 Å, I 32
2.983 Å, I 28
2.557 Å, I 62
2.484 Å, I 24
2.191 Å, I 16
1.927 Å, I 17
1.447 Å, I 25



6.
For BaBiPAu2, a structure optimized by DFT (GGA-PBE) gives the computed X-ray powder pattern in this record (Cu Kα (λ = 1.5418 Å)).
Peak positions follow from Bragg's law for the DFT cell and can differ from measured ones.

Structure:
Cell lengths 4.8632, 4.6782, 11.3401 Å; angles 90.00, 90.30, 90.00 degrees
Fractional coordinates of all 10 atoms:
Ba (0.2397, 0.2500, 0.2809)
Ba (0.7603, 0.7500, 0.7191)
Bi (0.2485, 0.7500, 0.0004)
Bi (0.7515, 0.2500, 0.9996)
P (0.2130, 0.2500, 0.6118)
P (0.7870, 0.7500, 0.3882)
Au (0.2591, 0.2500, 0.8253)
Au (0.2815, 0.7500, 0.5085)
Au (0.7185, 0.2500, 0.4915)
Au (0.7409, 0.7500, 0.1747)

Peak list (10 most intense, 2θ from 5° to 70°, low angle first)
3.608 Å, I 17
2.903 Å, I 100
2.893 Å, I 89
2.835 Å, I 18
2.432 Å, I 41
2.339 Å, I 39
2.174 Å, I 17
2.165 Å, I 19
1.686 Å, I 27
1.437 Å, I 23



7.
For BaBiSbPtAu, a structure optimized by DFT (GGA-PBE) gives the computed X-ray powder pattern in this record (Cu Kα (λ = 1.5418 Å)).
Peak positions follow from Bragg's law for the DFT cell and can differ from measured ones.

Structure:
Cell lengths 5.1229, 4.8614, 11.0704 Å; angles 90.00, 92.50, 90.00 degrees
Fractional coordinates of all 10 atoms:
Ba (0.2279, 0.2500, 0.2454)
Ba (0.7721, 0.7500, 0.7546)
Bi (0.3156, 0.2500, 0.8913)
Bi (0.6844, 0.7500, 0.1087)
Sb (0.2537, 0.7500, 0.4975)
Sb (0.7463, 0.2500, 0.5025)
Pt (0.1695, 0.7500, 0.9995)
Pt (0.8305, 0.2500, 0.0005)
Au (0.2534, 0.2500, 0.6275)
Au (0.7466, 0.7500, 0.3725)

Peak list (10 most intense, 2θ from 5° to 70°, low angle first)
11.060 Å, I 20
5.530 Å, I 24
3.014 Å, I 51
2.934 Å, I 100
2.559 Å, I 36
2.431 Å, I 48
2.208 Å, I 32
2.145 Å, I 26
1.871 Å, I 19
1.762 Å, I 24



8.
For BaBiSbPtAu, a structure optimized by DFT (GGA-PBE) gives the computed X-ray powder pattern in this record (Cu Kα (λ = 1.5418 Å)).
Peak positions follow from Bragg's law for the DFT cell and can differ from measured ones.

Structure:
Cell lengths 4.9649, 4.9319, 11.0504 Å; angles 90.00, 90.61, 90.00 degrees
Fractional coordinates of all 10 atoms:
Ba (0.2454, 0.2500, 0.2395)
Ba (0.7546, 0.7500, 0.7605)
Bi (0.2503, 0.7500, 0.4997)
Bi (0.7497, 0.2500, 0.5003)
Sb (0.2726, 0.2500, 0.8670)
Sb (0.7274, 0.7500, 0.1330)
Pt (0.2521, 0.2500, 0.6286)
Pt (0.7479, 0.7500, 0.3714)
Au (0.2239, 0.7500, 0.9999)
Au (0.7761, 0.2500, 0.0001)

Peak list (10 most intense, 2θ from 5° to 70°, low angle first)
5.525 Å, I 30
2.967 Å, I 79
2.947 Å, I 100
2.482 Å, I 47
2.466 Å, I 48
2.176 Å, I 34
2.160 Å, I 33
1.891 Å, I 13
1.749 Å, I 33
1.504 Å, I 19



9.
For BaBiSbPtAu, a structure optimized by DFT (GGA-PBE) gives the computed X-ray powder pattern in this record (Cu Kα (λ = 1.5418 Å)).
Peak positions follow from Bragg's law for the DFT cell and can differ from measured ones.

Structure:
Cell lengths 4.9838, 4.9111, 11.0767 Å; angles 90.00, 91.68, 90.00 degrees
Fractional coordinates of all 10 atoms:
Ba (0.2318, 0.2500, 0.2551)
Ba (0.7682, 0.7500, 0.7449)
Bi (0.2955, 0.2500, 0.8593)
Bi (0.7045, 0.7500, 0.1407)
Sb (0.2508, 0.7500, 0.4989)
Sb (0.7492, 0.2500, 0.5011)
Pt (0.2560, 0.2500, 0.6058)
Pt (0.7440, 0.7500, 0.3942)
Au (0.1957, 0.7500, 0.9992)
Au (0.8043, 0.2500, 0.0008)

Peak list (10 most intense, 2θ from 5° to 70°, low angle first)
4.491 Å, I 37
2.985 Å, I 88
2.950 Å, I 59
2.927 Å, I 100
2.491 Å, I 68
2.455 Å, I 91
2.192 Å, I 58
2.149 Å, I 47
1.881 Å, I 40
1.749 Å, I 47



10.
For BaLaCd2Au4, a structure optimized by DFT (GGA-PBE) gives the computed X-ray powder pattern in this record (Cu Kα (λ = 1.5418 Å)).
Peak positions follow from Bragg's law for the DFT cell and can differ from measured ones.

Structure:
Cell lengths 5.2310, 5.2310, 7.3832 Å; angles 90.00, 90.00, 90.00 degrees
Fractional coordinates of all 8 atoms:
Ba (0.0000, 0.0000, 0.0000)
La (0.5000, 0.5000, 0.5000)
Cd (0.0000, 0.0000, 0.5000)
Cd (0.5000, 0.5000, 0.0000)
Au (0.0000, 0.5000, 0.2727)
Au (0.0000, 0.5000, 0.7273)
Au (0.5000, 0.0000, 0.2727)
Au (0.5000, 0.0000, 0.7273)

Peak list (10 most intense, 2θ from 5° to 70°, low angle first)
7.383 Å, I 2
3.697 Å, I 6
2.614 Å, I 100
2.134 Å, I 2
2.049 Å, I 2
1.849 Å, I 12
1.846 Å, I 5
1.654 Å, I 2
1.509 Å, I 35
1.372 Å, I 3



11.
For CsBaHfAu, a structure optimized by DFT (GGA-PBE) gives the computed X-ray powder pattern in this record (Cu Kα (λ = 1.5418 Å)).
Peak positions follow from Bragg's law for the DFT cell and can differ from measured ones.

Structure:
Cell lengths 7.8385, 7.8385, 7.8385 Å; angles 90.00, 90.00, 90.00 degrees
Fractional coordinates of all 16 atoms:
Cs (0.0000, 0.0000, 0.0000)
Cs (0.0000, 0.5000, 0.5000)
Cs (0.5000, 0.0000, 0.5000)
Cs (0.5000, 0.5000, 0.0000)
Ba (0.2500, 0.2500, 0.2500)
Ba (0.2500, 0.7500, 0.7500)
Ba (0.7500, 0.2500, 0.7500)
Ba (0.7500, 0.7500, 0.2500)
Hf (0.2500, 0.2500, 0.7500)
Hf (0.2500, 0.7500, 0.2500)
Hf (0.7500, 0.2500, 0.2500)
Hf (0.7500, 0.7500, 0.7500)
Au (0.0000, 0.0000, 0.5000)
Au (0.0000, 0.5000, 0.0000)
Au (0.5000, 0.0000, 0.0000)
Au (0.5000, 0.5000, 0.5000)

Peak list (8 most intense, 2θ from 5° to 70°, low angle first)
4.526 Å, I 3
2.771 Å, I 100
2.363 Å, I 2
1.960 Å, I 18
1.798 Å, I 1
1.600 Å, I 39
1.509 Å, I 1
1.386 Å, I 12



12.
For BaDyAuSe3, a structure optimized by DFT (GGA-PBE) gives the computed X-ray powder pattern in this record (Cu Kα (λ = 1.5418 Å)).
Peak positions follow from Bragg's law for the DFT cell and can differ from measured ones.

Structure:
Cell lengths 8.2456, 4.2007, 10.0826 Å; angles 90.00, 107.27, 90.00 degrees
Fractional coordinates of all 12 atoms:
Ba (0.2439, 0.2500, 0.2876)
Ba (0.7561, 0.7500, 0.7124)
Dy (0.3085, 0.7500, 0.8431)
Dy (0.6915, 0.2500, 0.1569)
Au (0.0913, 0.2500, 0.6026)
Au (0.9087, 0.7500, 0.3974)
Se (0.0711, 0.2500, 0.8568)
Se (0.2782, 0.7500, 0.5508)
Se (0.4429, 0.7500, 0.1400)
Se (0.5571, 0.2500, 0.8600)
Se (0.7218, 0.2500, 0.4492)
Se (0.9289, 0.7500, 0.1432)

Peak list (10 most intense, 2θ from 5° to 70°, low angle first)
7.238 Å, I 100
3.308 Å, I 44
3.158 Å, I 25
2.932 Å, I 48
2.873 Å, I 75
2.705 Å, I 29
2.614 Å, I 70
2.603 Å, I 53
2.100 Å, I 42
2.080 Å, I 32



13.
For BaAu2F12, a structure optimized by DFT (GGA-PBE) gives the computed X-ray powder pattern in this record (Cu Kα (λ = 1.5418 Å)).
Peak positions follow from Bragg's law for the DFT cell and can differ from measured ones.

Structure:
Cell lengths 9.7675, 9.7675, 9.7675 Å; angles 90.00, 90.00, 90.00 degrees
Fractional coordinates of all 60 atoms:
Ba (0.0000, 0.0000, 0.0000)
Ba (0.0000, 0.0000, 0.5000)
Ba (0.0000, 0.5000, 0.0000)
Ba (0.5000, 0.0000, 0.0000)
Au (0.2198, 0.2198, 0.7802)
Au (0.2198, 0.7802, 0.2198)
Au (0.2906, 0.2906, 0.2906)
Au (0.2906, 0.7094, 0.7094)
Au (0.7094, 0.2906, 0.7094)
Au (0.7094, 0.7094, 0.2906)
Au (0.7802, 0.2198, 0.2198)
Au (0.7802, 0.7802, 0.7802)
F (0.0831, 0.0831, 0.7329)
F (0.0831, 0.2671, 0.9169)
F (0.0831, 0.7329, 0.0831)
F (0.0831, 0.9169, 0.2671)
F (0.1452, 0.3478, 0.6522)
F (0.1452, 0.6522, 0.3478)
F (0.1584, 0.1584, 0.3632)
F (0.1584, 0.3632, 0.1584)
F (0.1584, 0.6368, 0.8416)
F (0.1584, 0.8416, 0.6368)
F (0.2205, 0.4188, 0.4188)
F (0.2205, 0.5812, 0.5812)
F (0.2671, 0.0831, 0.9169)
F (0.2671, 0.9169, 0.0831)
F (0.3478, 0.1452, 0.6522)
F (0.3478, 0.3478, 0.8548)
F (0.3478, 0.6522, 0.1452)
F (0.3478, 0.8548, 0.3478)
F (0.3632, 0.1584, 0.1584)
F (0.3632, 0.8416, 0.8416)
F (0.4188, 0.2205, 0.4188)
F (0.4188, 0.4188, 0.2205)
F (0.4188, 0.5812, 0.7795)
F (0.4188, 0.7795, 0.5812)
F (0.5812, 0.2205, 0.5812)
F (0.5812, 0.4188, 0.7795)
F (0.5812, 0.5812, 0.2205)
F (0.5812, 0.7795, 0.4188)
F (0.6368, 0.1584, 0.8416)
F (0.6368, 0.8416, 0.1584)
F (0.6522, 0.1452, 0.3478)
F (0.6522, 0.3478, 0.1452)
F (0.6522, 0.6522, 0.8548)
F (0.6522, 0.8548, 0.6522)
F (0.7329, 0.0831, 0.0831)
F (0.7329, 0.9169, 0.9169)
F (0.7795, 0.4188, 0.5812)
F (0.7795, 0.5812, 0.4188)
F (0.8416, 0.1584, 0.6368)
F (0.8416, 0.3632, 0.8416)
F (0.8416, 0.6368, 0.1584)
F (0.8416, 0.8416, 0.3632)
F (0.8548, 0.3478, 0.3478)
F (0.8548, 0.6522, 0.6522)
F (0.9169, 0.0831, 0.2671)
F (0.9169, 0.2671, 0.0831)
F (0.9169, 0.7329, 0.9169)
F (0.9169, 0.9169, 0.7329)

Peak list (10 most intense, 2θ from 5° to 70°, low angle first)
4.884 Å, I 40
3.988 Å, I 47
3.453 Å, I 100
2.610 Å, I 19
2.302 Å, I 22
1.994 Å, I 32
1.916 Å, I 31
1.675 Å, I 16
1.585 Å, I 23
1.440 Å, I 15